# 1
Starting from a crystal structure in Alexandria, relaxed with GGA-PBE, the powder diffractogram of Pm5Dy12Ho was computed for Cu Kα X-rays.
No peak broadening, texture or thermal motion is included.

Main lines, by angle (10° ≤ 2θ ≤ 80°):
hkl 6 0 0, 2θ 30.68, 2.914 Å, I 100; hkl 3 3 1, 2θ 35.57, 2.524 Å, I 51; hkl 6 0 2, 2θ 51.09, 1.788 Å, I 6; hkl 0 6 0, 2θ 51.21, 1.784 Å, I 30; hkl 9 3 1, 2θ 60.79, 1.524 Å, I 7; hkl 6 6 0, 2θ 60.85, 1.522 Å, I 21; hkl 12 0 -2, 2θ 60.94, 1.520 Å, I 14; hkl 12 0 0, 2θ 63.84, 1.458 Å, I 6; hkl 6 6 -2, 2θ 63.94, 1.456 Å, I 6; hkl 6 6 2, 2θ 75.25, 1.263 Å, I 4

Crystal structure
```
data_Pm5Dy12Ho
_space_group_name_H-M_alt 'C 1 2/m 1'
_space_group_IT_number 12
_space_group_name_Hall '-C 2y'
_cell_length_a 18.5445
_cell_length_b 10.7037
_cell_length_c 6.1783
_cell_angle_alpha 90.00
_cell_angle_beta 109.30
_cell_angle_gamma 90.00
loop_
_atom_site_label
_atom_site_type_symbol
_atom_site_fract_x
_atom_site_fract_y
_atom_site_fract_z
Pm1 Pm 0.0000 0.0000 0.0000
Pm2 Pm 0.1661 0.5000 0.9987
Pm3 Pm 0.1666 0.0000 0.5005
Dy1 Dy 0.0000 0.1686 0.5000
Dy2 Dy 0.0000 0.3334 0.0000
Dy3 Dy 0.1660 0.3330 0.4991
Dy4 Dy 0.1667 0.1679 0.0006
Ho1 Ho 0.0000 0.5000 0.5000
```

***

# 2
Starting from a crystal structure in Alexandria, relaxed with GGA-PBE, the powder diffractogram of Ba2CaGa2P4 was computed for Cu Kα X-rays.
No peak broadening, texture or thermal motion is included.

Main lines, by angle (10° ≤ 2θ ≤ 80°):
hkl 2 0 -1, 2θ 14.05, 6.303 Å, I 48; hkl 0 0 2, 2θ 24.86, 3.581 Å, I 89; hkl 1 1 1, 2θ 26.82, 3.324 Å, I 51; hkl 4 0 -2, 2θ 28.33, 3.150 Å, I 54; hkl 3 1 -1, 2θ 28.49, 3.133 Å, I 68; hkl 1 1 -2, 2θ 32.30, 2.771 Å, I 84; hkl 3 1 1, 2θ 33.46, 2.678 Å, I 100; hkl 5 1 -1, 2θ 36.17, 2.484 Å, I 33; hkl 0 2 0, 2θ 44.46, 2.038 Å, I 41; hkl 3 1 3, 2θ 52.82, 1.733 Å, I 36

Crystal structure
```
data_Ba2CaGa2P4
_space_group_name_H-M_alt 'C 1 2/m 1'
_space_group_IT_number 12
_space_group_name_Hall '-C 2y'
_cell_length_a 15.7213
_cell_length_b 4.0752
_cell_length_c 7.5947
_cell_angle_alpha 90.00
_cell_angle_beta 109.40
_cell_angle_gamma 90.00
loop_
_atom_site_label
_atom_site_type_symbol
_atom_site_fract_x
_atom_site_fract_y
_atom_site_fract_z
Ba1 Ba 0.1258 0.0000 0.0499
Ca1 Ca 0.0000 0.0000 0.5000
Ga1 Ga 0.1669 0.5000 0.4772
P1 P 0.0247 0.5000 0.2483
P2 P 0.2109 0.0000 0.6766
```

***

# 3
Starting from a crystal structure in Alexandria, relaxed with GGA-PBE, the powder diffractogram of Cs2LiNbTe4 was computed for Cu Kα X-rays.
No peak broadening, texture or thermal motion is included.

Main lines, by angle (10° ≤ 2θ ≤ 80°):
hkl 1 3 3, 2θ 24.03, 3.703 Å, I 100; hkl 0 0 8, 2θ 25.84, 3.448 Å, I 27; hkl 1 3 5, 2θ 27.34, 3.263 Å, I 45; hkl 2 0 2, 2θ 27.85, 3.203 Å, I 24; hkl 1 3 7, 2θ 31.70, 2.823 Å, I 17; hkl 2 0 6, 2θ 33.47, 2.677 Å, I 24; hkl 2 0 10, 2θ 42.76, 2.115 Å, I 16; hkl 2 6 0, 2θ 44.80, 2.023 Å, I 21; hkl 3 3 3, 2θ 46.03, 1.972 Å, I 24; hkl 0 6 10, 2θ 48.46, 1.879 Å, I 22

Crystal structure
```
data_Cs2LiNbTe4
_space_group_name_H-M_alt 'F d d d'
_space_group_IT_number 70
_cell_length_a 6.5864
_cell_length_b 15.3831
_cell_length_c 27.5832
_cell_angle_alpha 90.00
_cell_angle_beta 90.00
_cell_angle_gamma 90.00
loop_
_space_group_symop_operation_xyz
'x,y,z'
'-x,-y,-z'
'-x+1/4,-y+1/4,z'
'x+1/4,y+1/4,-z'
'x,-y+1/4,-z+1/4'
'-x,y+1/4,z+1/4'
'-x+1/4,y,-z+1/4'
'x+1/4,-y,z+1/4'
'x,y+1/2,z+1/2'
'-x,-y+1/2,-z+1/2'
'-x+1/4,-y+3/4,z+1/2'
'x+1/4,y+3/4,-z+1/2'
'x,-y+3/4,-z+3/4'
'-x,y+3/4,z+3/4'
'-x+1/4,y+1/2,-z+3/4'
'x+1/4,-y+1/2,z+3/4'
'x+1/2,y,z+1/2'
'-x+1/2,-y,-z+1/2'
'-x+3/4,-y+1/4,z+1/2'
'x+3/4,y+1/4,-z+1/2'
'x+1/2,-y+1/4,-z+3/4'
'-x+1/2,y+1/4,z+3/4'
'-x+3/4,y,-z+3/4'
'x+3/4,-y,z+3/4'
'x+1/2,y+1/2,z'
'-x+1/2,-y+1/2,-z'
'-x+3/4,-y+3/4,z'
'x+3/4,y+3/4,-z'
'x+1/2,-y+3/4,-z+1/4'
'-x+1/2,y+3/4,z+1/4'
'-x+3/4,y+1/2,-z+1/4'
'x+3/4,-y+1/2,z+1/4'
loop_
_atom_site_label
_atom_site_type_symbol
_atom_site_fract_x
_atom_site_fract_y
_atom_site_fract_z
Cs1 Cs 0.1250 0.1250 0.3049
Li1 Li 0.1250 0.1250 0.1250
Nb1 Nb 0.1250 0.1250 0.6250
Te1 Te 0.1072 0.2763 0.8201
```

***

# 4
Starting from a crystal structure in Alexandria, relaxed with GGA-PBE, the powder diffractogram of Na2LaTlO was computed for Cu Kα X-rays.
No peak broadening, texture or thermal motion is included.

Main lines, by angle (10° ≤ 2θ ≤ 80°):
hkl 0 0 1, 2θ 19.30, 4.598 Å, I 43; hkl 1 1 0, 2θ 24.30, 3.663 Å, I 64; hkl 1 1 1, 2θ 31.22, 2.865 Å, I 100; hkl 2 0 0, 2θ 34.63, 2.590 Å, I 45; hkl 0 0 2, 2θ 39.19, 2.299 Å, I 16; hkl 2 0 1, 2θ 39.95, 2.257 Å, I 28; hkl 1 1 2, 2θ 46.65, 1.947 Å, I 23; hkl 2 2 0, 2θ 49.79, 1.831 Å, I 16; hkl 2 0 2, 2θ 53.28, 1.719 Å, I 26; hkl 3 1 1, 2θ 59.95, 1.543 Å, I 32

Crystal structure
```
data_Na2LaTlO
_space_group_name_H-M_alt 'P 4/m m m'
_space_group_IT_number 123
_space_group_name_Hall '-P 4 2'
_cell_length_a 5.1800
_cell_length_b 5.1800
_cell_length_c 4.5979
_cell_angle_alpha 90.00
_cell_angle_beta 90.00
_cell_angle_gamma 90.00
loop_
_atom_site_label
_atom_site_type_symbol
_atom_site_fract_x
_atom_site_fract_y
_atom_site_fract_z
Na1 Na 0.0000 0.5000 0.0000
La1 La 0.0000 0.0000 0.5000
Tl1 Tl 0.5000 0.5000 0.5000
O1 O 0.0000 0.0000 0.0000
```

***

# 5
Starting from a crystal structure in Alexandria, relaxed with GGA-PBE, the powder diffractogram of La2Y3Pb4 was computed for Cu Kα X-rays.
No peak broadening, texture or thermal motion is included.

Main lines, by angle (10° ≤ 2θ ≤ 80°):
hkl 1 1 1, 2θ 21.39, 4.154 Å, I 32; hkl 2 1 -2, 2θ 27.74, 3.216 Å, I 54; hkl 1 2 1, 2θ 28.12, 3.173 Å, I 35; hkl 2 2 -1, 2θ 29.82, 2.996 Å, I 100; hkl 1 2 -2, 2θ 30.21, 2.958 Å, I 46; hkl 1 1 2, 2θ 30.95, 2.889 Å, I 86; hkl 3 0 -2, 2θ 33.30, 2.690 Å, I 37; hkl 0 3 1, 2θ 33.63, 2.665 Å, I 54; hkl 3 0 0, 2θ 33.74, 2.656 Å, I 33; hkl 1 1 -3, 2θ 34.11, 2.629 Å, I 92

Crystal structure
```
data_La2Y3Pb4
_space_group_name_H-M_alt 'P 1 21/c 1'
_space_group_IT_number 14
_space_group_name_Hall '-P 2ybc'
_cell_length_a 8.5465
_cell_length_b 8.5157
_cell_length_c 8.2984
_cell_angle_alpha 90.00
_cell_angle_beta 111.18
_cell_angle_gamma 90.00
loop_
_atom_site_label
_atom_site_type_symbol
_atom_site_fract_x
_atom_site_fract_y
_atom_site_fract_z
La1 La 0.1924 0.1791 0.0587
Y1 Y 0.2460 0.6594 0.2404
Y2 Y 0.5000 0.0000 0.5000
Pb1 Pb 0.0866 0.5424 0.8358
Pb2 Pb 0.4933 0.1396 0.8599
```

***

# 6
Starting from a crystal structure in Alexandria, relaxed with GGA-PBE, the powder diffractogram of KHg4F12 was computed for Cu Kα X-rays.
No peak broadening, texture or thermal motion is included.

Main lines, by angle (10° ≤ 2θ ≤ 80°):
hkl 2 0 0, 2θ 20.27, 4.382 Å, I 100; hkl 2 2 0, 2θ 28.82, 3.098 Å, I 71; hkl 2 2 2, 2θ 35.49, 2.530 Å, I 14; hkl 4 0 0, 2θ 41.21, 2.191 Å, I 26; hkl 4 2 0, 2θ 46.34, 1.959 Å, I 48; hkl 4 2 2, 2θ 51.06, 1.789 Å, I 32; hkl 4 4 0, 2θ 59.69, 1.549 Å, I 16; hkl 4 4 2, 2θ 63.72, 1.461 Å, I 23; hkl 6 2 0, 2θ 67.61, 1.386 Å, I 14; hkl 6 0 4, 2θ 78.75, 1.215 Å, I 10

Crystal structure
```
data_KHg4F12
_space_group_name_H-M_alt 'I m -3'
_space_group_IT_number 204
_space_group_name_Hall '-I 2 2 3'
_cell_length_a 8.7630
_cell_length_b 8.7630
_cell_length_c 8.7630
_cell_angle_alpha 90.00
_cell_angle_beta 90.00
_cell_angle_gamma 90.00
loop_
_atom_site_label
_atom_site_type_symbol
_atom_site_fract_x
_atom_site_fract_y
_atom_site_fract_z
K1 K 0.0000 0.0000 0.0000
Hg1 Hg 0.2500 0.2500 0.2500
F1 F 0.0000 0.2516 0.2240
```

***

# 7
Starting from a crystal structure in Alexandria, relaxed with GGA-PBE, the powder diffractogram of PaCdTeO5 was computed for Cu Kα X-rays.
No peak broadening, texture or thermal motion is included.

Main lines, by angle (10° ≤ 2θ ≤ 80°):
hkl 1 1 0, 2θ 15.98, 5.546 Å, I 25; hkl 1 1 -2, 2θ 23.58, 3.773 Å, I 100; hkl 2 0 0, 2θ 26.49, 3.365 Å, I 77; hkl 0 2 2, 2θ 28.89, 3.090 Å, I 47; hkl 1 3 0, 2θ 30.45, 2.935 Å, I 78; hkl 1 1 2, 2θ 31.07, 2.879 Å, I 36; hkl 2 2 -2, 2θ 33.85, 2.648 Å, I 24; hkl 3 1 -2, 2θ 39.96, 2.256 Å, I 24; hkl 3 3 0, 2θ 49.30, 1.848 Å, I 26; hkl 1 3 -4, 2θ 51.49, 1.775 Å, I 22

Crystal structure
```
data_PaCdTeO5
_space_group_name_H-M_alt 'C 1 2/c 1'
_space_group_IT_number 15
_space_group_name_Hall '-C 2yc'
_cell_length_a 7.1515
_cell_length_b 9.7862
_cell_length_c 8.4700
_cell_angle_alpha 90.00
_cell_angle_beta 109.76
_cell_angle_gamma 90.00
loop_
_atom_site_label
_atom_site_type_symbol
_atom_site_fract_x
_atom_site_fract_y
_atom_site_fract_z
Pa1 Pa 0.0000 0.0000 0.0000
Cd1 Cd 0.0000 0.3164 0.2500
Te1 Te 0.0000 0.3425 0.7500
O1 O 0.0000 0.0342 0.7500
O2 O 0.0103 0.2147 0.0265
O3 O 0.1536 0.4897 0.8930
```

***

# 8
Starting from a crystal structure in Alexandria, relaxed with GGA-PBE, the powder diffractogram of VCo4B was computed for Cu Kα X-rays.
No peak broadening, texture or thermal motion is included.

Main lines, by angle (10° ≤ 2θ ≤ 80°):
hkl 1 0 1, 2θ 30.37, 2.943 Å, I 19; hkl 0 0 2, 2θ 31.57, 2.834 Å, I 31; hkl 1 1 0, 2θ 36.92, 2.435 Å, I 58; hkl 1 1 1, 2θ 40.31, 2.237 Å, I 27; hkl 0 0 3, 2θ 48.16, 1.890 Å, I 16; hkl 1 1 2, 2θ 49.34, 1.847 Å, I 100; hkl 0 2 0, 2θ 53.08, 1.725 Å, I 24; hkl 2 0 0, 2θ 53.32, 1.718 Å, I 24; hkl 1 1 3, 2θ 62.19, 1.493 Å, I 10; hkl 2 2 0, 2θ 78.57, 1.217 Å, I 14

Crystal structure
```
data_VCo4B
_space_group_name_H-M_alt 'P m m m'
_space_group_IT_number 47
_space_group_name_Hall '-P 2 2'
_cell_length_a 3.4364
_cell_length_b 3.4507
_cell_length_c 5.6686
_cell_angle_alpha 90.00
_cell_angle_beta 90.00
_cell_angle_gamma 90.00
loop_
_atom_site_label
_atom_site_type_symbol
_atom_site_fract_x
_atom_site_fract_y
_atom_site_fract_z
V1 V 0.0000 0.0000 0.0000
Co1 Co 0.0000 0.5000 0.2897
Co2 Co 0.5000 0.0000 0.2900
B1 B 0.5000 0.5000 0.5000
```

***

> What is the formula in the eighth record?

VCo4B